Record 1
Diffraction record for HoNiH. The powder XRD pattern is computed, not measured: it uses a cell relaxed with PBE and Cu Ka.
Neutral-atom scattering factors, no anomalous dispersion.

Crystal structure
Unit cell a=9.2353 b=9.2353 c=10.3301 alpha=90.00 beta=90.00 gamma=120.00
Space group R-3 (No. 148, hexagonal axes)
Asymmetric unit:
Ho (0.0409, 0.2753, 0.1239) [18 per cell]
Ni (0.0594, 0.8880, 0.3643) [18 per cell]
H (0.0329, 0.2170, 0.9140) [18 per cell]

Largest 6 diffraction maxima, in order of falling intensity, 2θ from 10° to 80°:
index, 2theta, d_spacing, Rel. int.
3 -2 2, 34.4, 2.609, 100
2 1 1, 30.8, 2.901, 92
2 -1 3, 32.4, 2.760, 78
1 3 1, 41.6, 2.169, 67
1 0 4, 36.6, 2.458, 33
1 1 0, 19.2, 4.618, 26

Record 2
Diffraction record for Sr3P4Pb. The powder XRD pattern is computed, not measured: it uses a cell relaxed with PBE and Cu Ka.
Neutral-atom scattering factors, no anomalous dispersion.

Crystal structure
Unit cell a=4.1056 b=11.8565 c=17.3392 alpha=90.00 beta=90.00 gamma=90.00
Space group Cmcm (No. 63)
Asymmetric unit:
Sr (0.0000, 0.0998, 0.2500) [4 per cell]
Sr (0.0000, 0.3703, 0.0702) [8 per cell]
P (0.0000, 0.0934, 0.0769) [8 per cell]
P (0.0000, 0.3264, 0.6134) [8 per cell]
Pb (0.0000, 0.1742, 0.7500) [4 per cell]

Largest 6 diffraction maxima, in order of falling intensity, 2θ from 10° to 80°:
index, 2theta, d_spacing, Rel. int.
0 0 6, 30.9, 2.890, 100
1 3 2, 33.1, 2.705, 76
1 1 2, 25.1, 3.541, 71
1 1 3, 27.7, 3.221, 70
1 3 4, 37.8, 2.380, 51
0 0 2, 10.2, 8.670, 45

Record 3
Diffraction record for CaHg3Pd. The powder XRD pattern is computed, not measured: it uses a cell relaxed with PBE and Cu Ka.
Neutral-atom scattering factors, no anomalous dispersion.

Crystal structure
Unit cell a=9.4457 b=4.3469 c=11.7309 alpha=90.00 beta=90.00 gamma=90.00
Space group Pnma (No. 62)
Asymmetric unit:
Ca (0.2122, 0.2500, 0.0028) [4 per cell]
Hg (0.0515, 0.2500, 0.4085) [4 per cell]
Hg (0.0709, 0.7500, 0.1792) [4 per cell]
Hg (0.1679, 0.7500, 0.7983) [4 per cell]
Pd (0.1380, 0.2500, 0.6422) [4 per cell]

Largest 6 diffraction maxima, in order of falling intensity, 2θ from 10° to 80°:
index, 2theta, d_spacing, Rel. int.
1 1 3, 32.2, 2.778, 100
2 1 2, 31.9, 2.808, 69
3 1 1, 36.0, 2.492, 62
3 1 2, 38.5, 2.338, 61
0 2 0, 41.5, 2.173, 58
4 0 1, 38.9, 2.315, 56

Record 4
Diffraction record for Zn8Cu3. The powder XRD pattern is computed, not measured: it uses a cell relaxed with PBE and Cu Ka.
Neutral-atom scattering factors, no anomalous dispersion.

Crystal structure
Unit cell a=5.6828 b=5.6828 c=5.6828 alpha=90.00 beta=90.00 gamma=90.00
Space group Pm-3m (No. 221)
Asymmetric unit:
Zn (0.2388, 0.2388, 0.2388) [8 per cell]
Cu (0.0000, 0.5000, 0.5000) [3 per cell]

Largest 6 diffraction maxima, in order of falling intensity, 2θ from 10° to 80°:
index, 2theta, d_spacing, Rel. int.
2 2 0, 45.1, 2.009, 100
2 0 0, 31.5, 2.841, 30
1 1 1, 27.2, 3.281, 20
4 0 0, 65.7, 1.421, 15
3 1 1, 53.5, 1.713, 8
2 1 0, 35.3, 2.541, 8